(1)
Calculated X-ray powder pattern of Mn5Zn4Te3O18 for λ = 1.5418 Å (Cu Kα), from a crystal structure in the Materials Project, relaxed with PBE+U.
No peak broadening, texture or thermal motion is included.

Atomic structure:
a = 8.8770 Å, b = 8.8770 Å, c = 10.7921 Å
α = 92.59°, β = 92.59°, γ = 61.17°
Fractional coordinates of all 60 atoms:
Mn 0.0029 0.2789 0.7595
Mn 0.1298 0.5486 0.9442
Mn 0.1945 0.8055 0.7500
Mn 0.2789 0.0029 0.2595
Mn 0.4514 0.8702 0.5558
Mn 0.5486 0.1298 0.4442
Mn 0.7211 0.9971 0.7405
Mn 0.8055 0.1945 0.2500
Mn 0.8702 0.4514 0.0558
Mn 0.9971 0.7211 0.2405
Zn 0.0576 0.3463 0.4271
Zn 0.3237 0.6150 0.4471
Zn 0.3463 0.0576 0.9271
Zn 0.3850 0.6763 0.0529
Zn 0.6150 0.3237 0.9471
Zn 0.6537 0.9424 0.0729
Zn 0.6763 0.3850 0.5529
Zn 0.9424 0.6537 0.5729
Te 0.0000 0.0000 0.0000
Te 0.0000 0.0000 0.5000
Te 0.3334 0.3388 0.1950
Te 0.3388 0.3334 0.6950
Te 0.6612 0.6666 0.3050
Te 0.6666 0.6612 0.8050
O 0.0464 0.0856 0.1567
O 0.0760 0.7731 0.0667
O 0.0856 0.0464 0.6567
O 0.0968 0.7566 0.5514
O 0.1092 0.4384 0.1122
O 0.1131 0.4045 0.6042
O 0.2269 0.9240 0.4333
O 0.2379 0.2633 0.8281
O 0.2434 0.9032 0.9486
O 0.2437 0.5542 0.7805
O 0.2484 0.5527 0.2913
O 0.2633 0.2379 0.3281
O 0.4014 0.4357 0.0560
O 0.4045 0.1131 0.1042
O 0.4357 0.4014 0.5560
O 0.4384 0.1092 0.6122
O 0.4458 0.7563 0.7195
O 0.4473 0.7516 0.2087
O 0.5527 0.2484 0.7913
O 0.5542 0.2437 0.2805
O 0.5616 0.8908 0.3878
O 0.5643 0.5986 0.4440
O 0.5955 0.8869 0.8958
O 0.5986 0.5643 0.9440
O 0.7367 0.7621 0.6719
O 0.7516 0.4473 0.7087
O 0.7563 0.4458 0.2195
O 0.7566 0.0968 0.0514
O 0.7621 0.7367 0.1719
O 0.7731 0.0760 0.5667
O 0.8869 0.5955 0.3958
O 0.8908 0.5616 0.8878
O 0.9032 0.2434 0.4486
O 0.9144 0.9536 0.3433
O 0.9240 0.2269 0.9333
O 0.9536 0.9144 0.8433

Most intense lines, 2θ = 15–90°, by angle:
2θ/deg  Rel. int.
20.0  51
20.7  40
27.9  71
28.7  72
31.3  34
32.1  49
32.8  37
34.4  100
34.6  50
53.9  52

(2)
Calculated X-ray powder pattern of Ti3MnO8 for λ = 1.5418 Å (Cu Kα), from a crystal structure in the Materials Project, relaxed with PBE+U.
No peak broadening, texture or thermal motion is included.

Atomic structure:
a = 5.9373 Å, b = 5.9373 Å, c = 8.9132 Å
α = 90.00°, β = 90.00°, γ = 120.00°
Fractional coordinates of all 24 atoms:
Ti 0.1665 0.3330 0.0000
Ti 0.1665 0.8335 0.0000
Ti 0.3330 0.1665 0.5000
Ti 0.6670 0.8335 0.0000
Ti 0.8335 0.1665 0.5000
Ti 0.8335 0.6670 0.5000
Mn 0.3333 0.6667 0.2760
Mn 0.6667 0.3333 0.7760
O 0.0000 0.0000 0.1064
O 0.0000 0.0000 0.6064
O 0.0531 0.5266 0.1372
O 0.1730 0.3460 0.3997
O 0.1730 0.8270 0.3997
O 0.3333 0.6667 0.8898
O 0.3460 0.1730 0.8997
O 0.4734 0.5266 0.1372
O 0.4734 0.9469 0.1372
O 0.5266 0.0531 0.6372
O 0.5266 0.4734 0.6372
O 0.6540 0.8270 0.3997
O 0.6667 0.3333 0.3898
O 0.8270 0.1730 0.8997
O 0.8270 0.6540 0.8997
O 0.9469 0.4734 0.6372

Most intense lines, 2θ = 15–90°, by angle:
2θ/deg  Rel. int.
19.9  100
26.5  25
34.9  22
36.4  51
40.5  30
46.7  32
54.5  13
56.6  13
62.6  24
63.5  22

(3)
Calculated X-ray powder pattern of TiMn9O20 for λ = 1.5418 Å (Cu Kα), from a crystal structure in the Materials Project, relaxed with PBE+U.
No peak broadening, texture or thermal motion is included.

Atomic structure:
a = 5.8246 Å, b = 5.8246 Å, c = 24.0464 Å
α = 96.85°, β = 96.85°, γ = 59.80°
Fractional coordinates of all 60 atoms:
Ti 0.0000 0.0000 0.0000
Ti 0.0000 0.0000 0.5000
Mn 0.0000 0.5000 0.0000
Mn 0.0972 0.6052 0.7991
Mn 0.2016 0.2016 0.1000
Mn 0.2021 0.7042 0.6000
Mn 0.2030 0.2030 0.6001
Mn 0.2958 0.7979 0.4000
Mn 0.3948 0.9028 0.2009
Mn 0.3989 0.3989 0.2006
Mn 0.4027 0.4027 0.6997
Mn 0.5000 0.0000 0.0000
Mn 0.5973 0.5973 0.3003
Mn 0.6011 0.6011 0.7994
Mn 0.6052 0.0972 0.7991
Mn 0.7042 0.2021 0.6000
Mn 0.7970 0.7970 0.3999
Mn 0.7979 0.2958 0.4000
Mn 0.7984 0.7984 0.9000
Mn 0.9028 0.3948 0.2009
O 0.0500 0.0500 0.6411
O 0.0708 0.0708 0.1535
O 0.0720 0.5086 0.1540
O 0.0896 0.5341 0.6468
O 0.1109 0.6660 0.9522
O 0.1295 0.6800 0.4462
O 0.1324 0.1324 0.4450
O 0.1552 0.1552 0.9580
O 0.2461 0.2461 0.2419
O 0.2687 0.7171 0.7523
O 0.2724 0.2724 0.7521
O 0.2829 0.7313 0.2477
O 0.3200 0.8705 0.5538
O 0.3296 0.3296 0.0464
O 0.3340 0.8891 0.0478
O 0.3561 0.3561 0.5590
O 0.4477 0.4477 0.8403
O 0.4659 0.9104 0.3532
O 0.4677 0.4677 0.3530
O 0.4914 0.9280 0.8460
O 0.5086 0.0720 0.1540
O 0.5323 0.5323 0.6470
O 0.5341 0.0896 0.6468
O 0.5523 0.5523 0.1597
O 0.6439 0.6439 0.4410
O 0.6660 0.1109 0.9522
O 0.6704 0.6704 0.9536
O 0.6800 0.1295 0.4462
O 0.7171 0.2687 0.7523
O 0.7276 0.7276 0.2479
O 0.7313 0.2829 0.2477
O 0.7539 0.7539 0.7581
O 0.8448 0.8448 0.0420
O 0.8676 0.8676 0.5550
O 0.8705 0.3200 0.5538
O 0.8891 0.3340 0.0478
O 0.9104 0.4659 0.3532
O 0.9280 0.4914 0.8460
O 0.9292 0.9292 0.8465
O 0.9500 0.9500 0.3589

Most intense lines, 2θ = 15–90°, by angle:
2θ/deg  Rel. int.
18.7  100
36.1  11
36.2  23
44.0  50
48.2  5
58.1  7
58.2  8
63.7  4
63.9  17
67.2  7

(4)
Calculated X-ray powder pattern of Ti3Mn3O for λ = 1.5418 Å (Cu Kα), from a crystal structure in the Materials Project, relaxed with PBE+U.
No peak broadening, texture or thermal motion is included.

Atomic structure:
a = 8.4096 Å, b = 8.4096 Å, c = 8.4096 Å
α = 60.00°, β = 60.00°, γ = 60.00°
Fractional coordinates of all 28 atoms:
Ti 0.0570 0.0570 0.6930
Ti 0.0570 0.6930 0.0570
Ti 0.0570 0.6930 0.6930
Ti 0.3070 0.3070 0.9430
Ti 0.3070 0.9430 0.3070
Ti 0.3070 0.9430 0.9430
Ti 0.6930 0.0570 0.0570
Ti 0.6930 0.0570 0.6930
Ti 0.6930 0.6930 0.0570
Ti 0.9430 0.3070 0.3070
Ti 0.9430 0.3070 0.9430
Ti 0.9430 0.9430 0.3070
Mn 0.0000 0.5000 0.5000
Mn 0.2863 0.2863 0.2863
Mn 0.2863 0.2863 0.6411
Mn 0.2863 0.6411 0.2863
Mn 0.3589 0.7137 0.7137
Mn 0.5000 0.0000 0.5000
Mn 0.5000 0.5000 0.0000
Mn 0.5000 0.5000 0.5000
Mn 0.6411 0.2863 0.2863
Mn 0.7137 0.3589 0.7137
Mn 0.7137 0.7137 0.3589
Mn 0.7137 0.7137 0.7137
O 0.0000 0.0000 0.0000
O 0.0000 0.0000 0.5000
O 0.0000 0.5000 0.0000
O 0.5000 0.0000 0.0000

Most intense lines, 2θ = 15–90°, by angle:
2θ/deg  Rel. int.
37.0  30
39.4  100
43.0  31
45.8  9
53.4  6
66.7  27
68.3  7
72.9  6
80.3  16
84.7  6

(5)
Calculated X-ray powder pattern of Ti3Mn5O16 for λ = 1.5418 Å (Cu Kα), from a crystal structure in the Materials Project, relaxed with PBE+U.
No peak broadening, texture or thermal motion is included.

Atomic structure:
a = 5.8645 Å, b = 5.8645 Å, c = 8.8726 Å
α = 90.59°, β = 90.59°, γ = 60.12°
Fractional coordinates of all 24 atoms:
Ti 0.0000 0.0000 0.0000
Ti 0.3310 0.8326 0.5012
Ti 0.8326 0.3310 0.5012
Mn 0.3318 0.3318 0.5057
Mn 0.4928 0.4928 0.7803
Mn 0.4994 0.9952 0.0056
Mn 0.8279 0.8279 0.2783
Mn 0.9952 0.4994 0.0056
O 0.1144 0.6801 0.1384
O 0.1643 0.1643 0.6108
O 0.1658 0.1658 0.1126
O 0.2067 0.6315 0.6376
O 0.3253 0.3253 0.8965
O 0.3286 0.8200 0.8982
O 0.4907 0.4907 0.3925
O 0.5022 0.9875 0.3974
O 0.6315 0.2067 0.6376
O 0.6354 0.6354 0.6407
O 0.6801 0.1144 0.1384
O 0.6831 0.6831 0.1336
O 0.8200 0.3286 0.8982
O 0.8238 0.8238 0.8955
O 0.9875 0.5022 0.3974
O 0.9875 0.9875 0.3994

Most intense lines, 2θ = 15–90°, by angle:
2θ/deg  Rel. int.
20.0  100
20.2  47
26.6  19
35.3  17
36.7  34
36.9  27
40.8  15
47.0  23
47.3  17
63.5  22

(6)
Calculated X-ray powder pattern of TiMn5O12 for λ = 1.5418 Å (Cu Kα), from a crystal structure in the Materials Project, relaxed with PBE+U.
No peak broadening, texture or thermal motion is included.

Atomic structure:
a = 5.0828 Å, b = 5.0828 Å, c = 9.7149 Å
α = 90.00°, β = 90.00°, γ = 120.08°
Fractional coordinates of all 18 atoms:
Ti 0.0000 0.0000 0.0000
Mn 0.1667 0.8333 0.5000
Mn 0.3333 0.6667 0.0000
Mn 0.5000 0.5000 0.5000
Mn 0.6667 0.3333 0.0000
Mn 0.8333 0.1667 0.5000
O 0.9999 0.3394 0.1001
O 0.0001 0.6606 0.8999
O 0.1664 0.1664 0.4015
O 0.1668 0.5000 0.5983
O 0.3394 0.9999 0.1001
O 0.3396 0.3396 0.8999
O 0.5000 0.1668 0.5983
O 0.5000 0.8332 0.4017
O 0.6604 0.6604 0.1001
O 0.6606 0.0001 0.8999
O 0.8332 0.5000 0.4017
O 0.8336 0.8336 0.5985

Most intense lines, 2θ = 15–90°, by angle:
2θ/deg  Rel. int.
18.3  100
35.4  6
36.6  27
40.1  22
45.4  30
52.1  12
59.9  15
64.3  15
78.5  5
86.4  5